# NaMo6O17
Simulated powder diffraction line list, Cu Kα (weighted mean of Kα1 and Kα2). Input: a structure optimized by DFT (PBE+U).
Neutral-atom scattering factors, no anomalous dispersion.

The 10 most intense peaks (10 to 80 degrees two-theta), in order of rising 2θ:
- 22.46°, rel. 100, (1 1 2)
- 31.61°, rel. 11, (0 2 0)
- 31.71°, rel. 16, (3 1 0)
- 32.20°, rel. 13, (1 1 -4)
- 32.43°, rel. 5, (2 0 4)
- 45.73°, rel. 5, (4 0 -4)
- 45.91°, rel. 11, (2 2 4)
- 51.14°, rel. 8, (1 3 2)
- 51.34°, rel. 4, (4 2 2)
- 56.67°, rel. 5, (1 3 -4)

Cell and atoms:
```
NaMo6O17
1.0
9.7648 0.0000 0.0000
0.0000 5.6612 0.0000
-0.1089 0.0000 13.4669
Na Mo O
2 12 34
direct
0.0699 0.2500 0.0969 Na
0.9301 0.7500 0.9031 Na
0.0730 0.2500 0.7976 Mo
0.0863 0.2500 0.3641 Mo
0.2767 0.7500 0.5101 Mo
0.3067 0.7500 0.0044 Mo
0.3974 0.2500 0.1812 Mo
0.4166 0.2500 0.6725 Mo
0.5834 0.7500 0.3275 Mo
0.6026 0.7500 0.8188 Mo
0.6933 0.2500 0.9956 Mo
0.7233 0.2500 0.4899 Mo
0.9137 0.7500 0.6359 Mo
0.9270 0.7500 0.2024 Mo
0.0085 0.0108 0.2526 O
0.0085 0.4892 0.2526 O
0.0407 0.2500 0.9257 O
0.0789 0.7500 0.5792 O
0.1687 0.0075 0.4251 O
0.1687 0.4925 0.4251 O
0.1775 0.7500 0.9146 O
0.2443 0.2500 0.2549 O
0.2544 0.2500 0.7737 O
0.2876 0.0119 0.0815 O
0.2876 0.4881 0.0815 O
0.3347 0.5066 0.5977 O
0.3347 0.9934 0.5977 O
0.4124 0.7500 0.4212 O
0.4705 0.7500 0.9431 O
0.4862 0.0048 0.2365 O
0.4862 0.4952 0.2365 O
0.5138 0.5048 0.7635 O
0.5138 0.9952 0.7635 O
0.5295 0.2500 0.0569 O
0.5876 0.2500 0.5788 O
0.6653 0.0066 0.4023 O
0.6653 0.4934 0.4023 O
0.7124 0.5119 0.9185 O
0.7124 0.9881 0.9185 O
0.7456 0.7500 0.2263 O
0.7557 0.7500 0.7451 O
0.8225 0.2500 0.0854 O
0.8313 0.5075 0.5749 O
0.8313 0.9925 0.5749 O
0.9211 0.2500 0.4208 O
0.9593 0.7500 0.0743 O
0.9915 0.5108 0.7474 O
0.9915 0.9892 0.7474 O
```